Entry 1:
LaTb7Ho12: calculated powder diffraction line list (CuKα), based on a cell relaxed with PBE.
Peak positions follow from Bragg's law for the DFT cell and can differ from measured ones.

Principal peaks in the range 10 to 80 degrees two-theta, by angle:
2theta	Rel. int.
15.75	24
22.34	17
27.45	71
31.81	100
35.68	13
39.22	8
45.60	73
54.05	32
56.67	25
66.46	12
73.34	12
75.57	32

Structural model:
```
data_LaTb7Ho12
_symmetry_space_group_name_H-M 'P 1'
_symmetry_Int_Tables_number 1
_symmetry_space_group_name_Hall 'P 1'
_cell_length_a 9.746
_cell_length_b 9.746
_cell_length_c 9.746
_cell_angle_alpha 109.47
_cell_angle_beta 109.47
_cell_angle_gamma 109.47
loop_
_atom_site_label
_atom_site_fract_x
_atom_site_fract_y
_atom_site_fract_z
_atom_site_occupancy
La1 0.000 0.000 0.000 1
Tb1 0.000 0.000 0.500 1
Tb2 0.000 0.500 0.000 1
Tb3 0.000 0.500 0.500 1
Tb4 0.500 0.000 0.000 1
Tb5 0.500 0.000 0.500 1
Tb6 0.500 0.500 0.000 1
Tb7 0.500 0.500 0.500 1
Ho1 0.001 0.744 0.257 1
Ho2 0.256 0.257 0.513 1
Ho3 0.256 0.743 0.999 1
Ho4 0.257 0.001 0.744 1
Ho5 0.257 0.513 0.256 1
Ho6 0.487 0.744 0.743 1
Ho7 0.513 0.256 0.257 1
Ho8 0.743 0.487 0.744 1
Ho9 0.743 0.999 0.256 1
Ho10 0.744 0.257 0.001 1
Ho11 0.744 0.743 0.487 1
Ho12 0.999 0.256 0.743 1
```

Entry 2:
La4Tb15Ho: calculated powder diffraction line list (CuKα), based on a cell relaxed with PBE.
Peak positions follow from Bragg's law for the DFT cell and can differ from measured ones.

Principal peaks in the range 10 to 80 degrees two-theta, by angle:
2theta	Rel. int.
30.42	100
35.21	34
35.38	17
50.65	12
50.77	24
60.23	29
60.46	14
63.29	12
74.44	4
74.86	2

Structural model:
```
data_La4Tb15Ho
_symmetry_space_group_name_H-M 'P 1'
_symmetry_Int_Tables_number 1
_symmetry_space_group_name_Hall 'P 1'
_cell_length_a 5.098
_cell_length_b 5.098
_cell_length_c 25.369
_cell_angle_alpha 90.00
_cell_angle_beta 90.00
_cell_angle_gamma 90.00
loop_
_atom_site_label
_atom_site_fract_x
_atom_site_fract_y
_atom_site_fract_z
_atom_site_occupancy
La1 0.000 0.000 0.101 1
La2 0.000 0.000 0.301 1
La3 0.000 0.000 0.699 1
La4 0.000 0.000 0.899 1
Tb1 0.000 0.500 0.000 1
Tb2 0.000 0.500 0.201 1
Tb3 0.000 0.500 0.402 1
Tb4 0.000 0.500 0.598 1
Tb5 0.000 0.500 0.799 1
Tb6 0.500 0.000 0.000 1
Tb7 0.500 0.000 0.201 1
Tb8 0.500 0.000 0.402 1
Tb9 0.500 0.000 0.598 1
Tb10 0.500 0.000 0.799 1
Tb11 0.500 0.500 0.100 1
Tb12 0.500 0.500 0.302 1
Tb13 0.500 0.500 0.500 1
Tb14 0.500 0.500 0.698 1
Tb15 0.500 0.500 0.900 1
Ho1 0.000 0.000 0.500 1
```

Entry 3:
La9TbHo2: calculated powder diffraction line list (CuKα), based on a cell relaxed with PBE.
Peak positions follow from Bragg's law for the DFT cell and can differ from measured ones.

Principal peaks in the range 10 to 80 degrees two-theta, by angle:
2theta	Rel. int.
29.75	100
34.49	51
49.57	36
58.89	43
61.79	12
72.73	6

Structural model:
```
data_La9TbHo2
_symmetry_space_group_name_H-M 'P 1'
_symmetry_Int_Tables_number 1
_symmetry_space_group_name_Hall 'P 1'
_cell_length_a 5.200
_cell_length_b 5.200
_cell_length_c 15.607
_cell_angle_alpha 90.00
_cell_angle_beta 90.00
_cell_angle_gamma 90.00
loop_
_atom_site_label
_atom_site_fract_x
_atom_site_fract_y
_atom_site_fract_z
_atom_site_occupancy
La1 0.000 0.000 0.000 1
La2 0.000 0.000 0.334 1
La3 0.000 0.000 0.666 1
La4 0.000 0.500 0.167 1
La5 0.000 0.500 0.500 1
La6 0.000 0.500 0.833 1
La7 0.500 0.000 0.167 1
La8 0.500 0.000 0.500 1
La9 0.500 0.000 0.833 1
Tb1 0.500 0.500 0.000 1
Ho1 0.500 0.500 0.334 1
Ho2 0.500 0.500 0.666 1
```

Entry 4:
La4TbHo4: calculated powder diffraction line list (CuKα), based on a cell relaxed with PBE.
Peak positions follow from Bragg's law for the DFT cell and can differ from measured ones.

Principal peaks in the range 10 to 80 degrees two-theta, by angle:
2theta	Rel. int.
30.18	100
34.88	17
35.05	34
50.28	24
50.40	12
59.66	14
59.88	29
62.76	12
73.65	2
74.05	4

Structural model:
```
data_La4TbHo4
_symmetry_space_group_name_H-M 'P 1'
_symmetry_Int_Tables_number 1
_symmetry_space_group_name_Hall 'P 1'
_cell_length_a 8.101
_cell_length_b 8.101
_cell_length_c 8.101
_cell_angle_alpha 95.79
_cell_angle_beta 95.79
_cell_angle_gamma 142.97
loop_
_atom_site_label
_atom_site_fract_x
_atom_site_fract_y
_atom_site_fract_z
_atom_site_occupancy
La1 0.167 0.167 0.334 1
La2 0.167 0.833 0.000 1
La3 0.833 0.167 0.000 1
La4 0.833 0.833 0.666 1
Tb1 0.500 0.500 0.000 1
Ho1 0.163 0.500 0.663 1
Ho2 0.500 0.163 0.663 1
Ho3 0.500 0.837 0.337 1
Ho4 0.837 0.500 0.337 1
```

Entry 5:
La9Tb4Ho: calculated powder diffraction line list (CuKα), based on a cell relaxed with PBE.
Peak positions follow from Bragg's law for the DFT cell and can differ from measured ones.

Principal peaks in the range 10 to 80 degrees two-theta, by angle:
2theta	Rel. int.
21.82	11
30.97	55
31.29	100
31.80	38
35.74	11
44.27	10
47.97	10
50.49	23
54.81	17
55.10	21
55.27	12
64.28	17

Structural model:
```
data_La9Tb4Ho
_symmetry_space_group_name_H-M 'P 1'
_symmetry_Int_Tables_number 1
_symmetry_space_group_name_Hall 'P 1'
_cell_length_a 10.050
_cell_length_b 10.050
_cell_length_c 11.557
_cell_angle_alpha 90.00
_cell_angle_beta 90.00
_cell_angle_gamma 120.00
loop_
_atom_site_label
_atom_site_fract_x
_atom_site_fract_y
_atom_site_fract_z
_atom_site_occupancy
La1 0.079 0.539 0.250 1
La2 0.207 0.415 0.530 1
La3 0.207 0.415 0.970 1
La4 0.207 0.793 0.530 1
La5 0.207 0.793 0.970 1
La6 0.415 0.207 0.030 1
La7 0.415 0.207 0.470 1
La8 0.461 0.539 0.250 1
La9 0.461 0.921 0.250 1
La10 0.539 0.079 0.750 1
La11 0.539 0.461 0.750 1
La12 0.585 0.793 0.530 1
La13 0.585 0.793 0.970 1
La14 0.793 0.207 0.030 1
La15 0.793 0.207 0.470 1
La16 0.793 0.585 0.030 1
La17 0.793 0.585 0.470 1
La18 0.921 0.461 0.750 1
Tb1 0.000 0.000 0.000 1
Tb2 0.000 0.000 0.500 1
Tb3 0.110 0.220 0.250 1
Tb4 0.110 0.890 0.250 1
Tb5 0.220 0.110 0.750 1
Tb6 0.780 0.890 0.250 1
Tb7 0.890 0.110 0.750 1
Tb8 0.890 0.780 0.750 1
Ho1 0.333 0.667 0.750 1
Ho2 0.667 0.333 0.250 1
```

Entry 6:
La2Tb5Ho: calculated powder diffraction line list (CuKα), based on a cell relaxed with PBE.
Peak positions follow from Bragg's law for the DFT cell and can differ from measured ones.

Principal peaks in the range 10 to 80 degrees two-theta, by angle:
2theta	Rel. int.
30.37	100
35.12	34
35.40	16
36.39	1
50.51	12
50.73	24
60.09	29
60.47	14
63.19	12
74.23	4
74.91	2

Structural model:
```
data_La2Tb5Ho
_symmetry_space_group_name_H-M 'P 1'
_symmetry_Int_Tables_number 1
_symmetry_space_group_name_Hall 'P 1'
_cell_length_a 5.110
_cell_length_b 5.110
_cell_length_c 20.283
_cell_angle_alpha 90.00
_cell_angle_beta 90.00
_cell_angle_gamma 90.00
loop_
_atom_site_label
_atom_site_fract_x
_atom_site_fract_y
_atom_site_fract_z
_atom_site_occupancy
La1 0.000 0.000 0.250 1
La2 0.000 0.000 0.750 1
La3 0.500 0.500 0.250 1
La4 0.500 0.500 0.750 1
Tb1 0.000 0.000 0.000 1
Tb2 0.000 0.500 0.122 1
Tb3 0.000 0.500 0.378 1
Tb4 0.000 0.500 0.622 1
Tb5 0.000 0.500 0.878 1
Tb6 0.500 0.000 0.122 1
Tb7 0.500 0.000 0.378 1
Tb8 0.500 0.000 0.622 1
Tb9 0.500 0.000 0.878 1
Tb10 0.500 0.500 0.500 1
Ho1 0.000 0.000 0.500 1
Ho2 0.500 0.500 0.000 1
```

Entry 7:
La14TbHo: calculated powder diffraction line list (CuKα), based on a cell relaxed with PBE.
Peak positions follow from Bragg's law for the DFT cell and can differ from measured ones.

Principal peaks in the range 10 to 80 degrees two-theta, by angle:
2theta	Rel. int.
29.64	12
30.11	32
30.27	100
31.02	22
42.89	7
43.77	16
51.24	7
53.29	7
53.58	21
54.71	9
60.57	6
62.08	7

Structural model:
```
data_La14TbHo
_symmetry_space_group_name_H-M 'P 1'
_symmetry_Int_Tables_number 1
_symmetry_space_group_name_Hall 'P 1'
_cell_length_a 11.872
_cell_length_b 7.144
_cell_length_c 7.144
_cell_angle_alpha 107.64
_cell_angle_beta 90.00
_cell_angle_gamma 90.00
loop_
_atom_site_label
_atom_site_fract_x
_atom_site_fract_y
_atom_site_fract_z
_atom_site_occupancy
La1 0.000 0.000 0.000 1
La2 0.000 0.430 0.430 1
La3 0.000 0.532 0.950 1
La4 0.000 0.950 0.532 1
La5 0.245 0.243 0.813 1
La6 0.245 0.813 0.243 1
La7 0.256 0.313 0.313 1
La8 0.264 0.747 0.747 1
La9 0.500 0.519 0.984 1
La10 0.500 0.984 0.519 1
La11 0.736 0.747 0.747 1
La12 0.744 0.313 0.313 1
La13 0.755 0.243 0.813 1
La14 0.755 0.813 0.243 1
Tb1 0.500 0.041 0.041 1
Ho1 0.500 0.482 0.482 1
```

Entry 8:
La2Tb6Ho5: calculated powder diffraction line list (CuKα), based on a cell relaxed with PBE.
Peak positions follow from Bragg's law for the DFT cell and can differ from measured ones.

Principal peaks in the range 10 to 80 degrees two-theta, by angle:
2theta	Rel. int.
29.09	23
30.42	22
30.74	55
31.40	42
31.73	35
31.81	63
32.00	100
34.13	40
35.05	28
36.39	25
50.68	23
61.07	32

Structural model:
```
data_La2Tb6Ho5
_symmetry_space_group_name_H-M 'P 1'
_symmetry_Int_Tables_number 1
_symmetry_space_group_name_Hall 'P 1'
_cell_length_a 11.754
_cell_length_b 20.283
_cell_length_c 3.603
_cell_angle_alpha 90.00
_cell_angle_beta 90.00
_cell_angle_gamma 90.00
loop_
_atom_site_label
_atom_site_fract_x
_atom_site_fract_y
_atom_site_fract_z
_atom_site_occupancy
La1 0.167 0.220 0.000 1
La2 0.333 0.720 0.000 1
La3 0.667 0.280 0.000 1
La4 0.833 0.780 0.000 1
Tb1 0.060 0.924 0.000 1
Tb2 0.078 0.637 0.000 1
Tb3 0.180 0.378 0.500 1
Tb4 0.320 0.878 0.500 1
Tb5 0.422 0.137 0.000 1
Tb6 0.440 0.424 0.000 1
Tb7 0.560 0.576 0.000 1
Tb8 0.578 0.863 0.000 1
Tb9 0.680 0.122 0.500 1
Tb10 0.820 0.622 0.500 1
Tb11 0.922 0.363 0.000 1
Tb12 0.940 0.076 0.000 1
Ho1 0.000 0.500 0.500 1
Ho2 0.095 0.781 0.500 1
Ho3 0.200 0.053 0.500 1
Ho4 0.300 0.553 0.500 1
Ho5 0.405 0.281 0.500 1
Ho6 0.500 0.000 0.500 1
Ho7 0.595 0.719 0.500 1
Ho8 0.700 0.447 0.500 1
Ho9 0.800 0.947 0.500 1
Ho10 0.905 0.219 0.500 1
```

Entry 9:
La4Tb2Ho3: calculated powder diffraction line list (CuKα), based on a cell relaxed with PBE.
Peak positions follow from Bragg's law for the DFT cell and can differ from measured ones.

Principal peaks in the range 10 to 80 degrees two-theta, by angle:
2theta	Rel. int.
30.03	40
31.00	99
31.16	100
31.79	49
43.07	14
44.54	15
45.71	22
51.36	13
55.93	11
56.76	12
61.28	43
64.98	12

Structural model:
```
data_La4Tb2Ho3
_symmetry_space_group_name_H-M 'P 1'
_symmetry_Int_Tables_number 1
_symmetry_space_group_name_Hall 'P 1'
_cell_length_a 8.982
_cell_length_b 8.982
_cell_length_c 9.928
_cell_angle_alpha 100.56
_cell_angle_beta 100.56
_cell_angle_gamma 22.85
loop_
_atom_site_label
_atom_site_fract_x
_atom_site_fract_y
_atom_site_fract_z
_atom_site_occupancy
La1 0.002 0.002 0.330 1
La2 0.161 0.161 0.219 1
La3 0.839 0.839 0.781 1
La4 0.998 0.998 0.670 1
Tb1 0.176 0.176 0.881 1
Tb2 0.824 0.824 0.119 1
Ho1 0.334 0.334 0.448 1
Ho2 0.500 0.500 0.000 1
Ho3 0.666 0.666 0.552 1
```

Entry 10:
La8Tb3Ho3: calculated powder diffraction line list (CuKα), based on a cell relaxed with PBE.
Peak positions follow from Bragg's law for the DFT cell and can differ from measured ones.

Principal peaks in the range 10 to 80 degrees two-theta, by angle:
2theta	Rel. int.
28.49	22
29.27	40
29.88	28
31.13	100
31.36	51
33.26	42
43.86	21
49.34	11
55.68	19
58.95	12
59.64	14
65.94	11

Structural model:
```
data_La8Tb3Ho3
_symmetry_space_group_name_H-M 'P 1'
_symmetry_Int_Tables_number 1
_symmetry_space_group_name_Hall 'P 1'
_cell_length_a 9.858
_cell_length_b 9.858
_cell_length_c 9.858
_cell_angle_alpha 146.36
_cell_angle_beta 111.61
_cell_angle_gamma 78.42
loop_
_atom_site_label
_atom_site_fract_x
_atom_site_fract_y
_atom_site_fract_z
_atom_site_occupancy
La1 0.055 0.393 0.662 1
La2 0.073 0.230 0.843 1
La3 0.268 0.607 0.662 1
La4 0.387 0.230 0.157 1
La5 0.613 0.770 0.843 1
La6 0.732 0.393 0.338 1
La7 0.927 0.770 0.157 1
La8 0.945 0.607 0.338 1
Tb1 0.324 0.824 0.500 1
Tb2 0.500 0.500 0.000 1
Tb3 0.676 0.176 0.500 1
Ho1 0.000 0.000 0.000 1
Ho2 0.301 0.000 0.301 1
Ho3 0.699 0.000 0.699 1
```

Entry 11:
La3Tb8Ho4: calculated powder diffraction line list (CuKα), based on a cell relaxed with PBE.
Peak positions follow from Bragg's law for the DFT cell and can differ from measured ones.

Principal peaks in the range 10 to 80 degrees two-theta, by angle:
2theta	Rel. int.
27.80	36
29.04	9
30.43	100
30.71	48
31.79	27
38.74	11
41.68	47
41.89	23
53.91	10
54.34	10
66.39	20
66.54	9

Structural model:
```
data_La3Tb8Ho4
_symmetry_space_group_name_H-M 'P 1'
_symmetry_Int_Tables_number 1
_symmetry_space_group_name_Hall 'P 1'
_cell_length_a 9.303
_cell_length_b 9.303
_cell_length_c 6.803
_cell_angle_alpha 111.32
_cell_angle_beta 111.32
_cell_angle_gamma 87.25
loop_
_atom_site_label
_atom_site_fract_x
_atom_site_fract_y
_atom_site_fract_z
_atom_site_occupancy
La1 0.000 0.000 0.000 1
La2 0.000 0.500 0.500 1
La3 0.500 0.000 0.500 1
Tb1 0.143 0.857 0.500 1
Tb2 0.230 0.230 0.508 1
Tb3 0.243 0.243 0.995 1
Tb4 0.247 0.753 0.000 1
Tb5 0.753 0.247 0.000 1
Tb6 0.757 0.757 0.005 1
Tb7 0.770 0.770 0.492 1
Tb8 0.857 0.143 0.500 1
Ho1 0.000 0.500 0.000 1
Ho2 0.500 0.000 0.000 1
Ho3 0.500 0.500 0.000 1
Ho4 0.500 0.500 0.500 1
```

Entry 12:
La2Tb2Ho5: calculated powder diffraction line list (CuKα), based on a cell relaxed with PBE.
Peak positions follow from Bragg's law for the DFT cell and can differ from measured ones.

Principal peaks in the range 10 to 80 degrees two-theta, by angle:
2theta	Rel. int.
10.85	33
25.36	41
27.80	44
28.40	41
29.68	77
29.86	74
32.49	68
33.28	55
34.66	76
36.14	100
42.39	34
63.03	30

Structural model:
```
data_La2Tb2Ho5
_symmetry_space_group_name_H-M 'P 1'
_symmetry_Int_Tables_number 1
_symmetry_space_group_name_Hall 'P 1'
_cell_length_a 11.027
_cell_length_b 11.027
_cell_length_c 8.290
_cell_angle_alpha 100.30
_cell_angle_beta 100.30
_cell_angle_gamma 18.23
loop_
_atom_site_label
_atom_site_fract_x
_atom_site_fract_y
_atom_site_fract_z
_atom_site_occupancy
La1 0.181 0.181 0.143 1
La2 0.819 0.819 0.857 1
Tb1 0.454 0.454 0.643 1
Tb2 0.546 0.546 0.357 1
Ho1 0.000 0.000 0.000 1
Ho2 0.096 0.096 0.732 1
Ho3 0.309 0.309 0.466 1
Ho4 0.691 0.691 0.534 1
Ho5 0.904 0.904 0.268 1
```